# 1
The following is a computed powder diffractogram of K3ReC4N4O2. It was derived from a PBE-relaxed structure, using Cu Kα X-rays.
Peak positions follow from Bragg's law for the DFT cell and can differ from measured ones.

Most intense lines, 2θ from 5° to 70°, by intensity:
d 8.446, rel. 100; d 6.313, rel. 36; d 6.048, rel. 36; d 3.653, rel. 25; d 2.926, rel. 24; d 5.782, rel. 23; d 5.279, rel. 22; d 3.125, rel. 20; d 4.379, rel. 15; d 4.223, rel. 14

Cell and atoms:
Cell lengths 6.821, 7.072, 8.625 Å; angles 81.38, 79.11, 63.54 degrees
Sites, in units of the cell vectors:
K1 0.000 0.000 0.000
K2 0.343 0.380 0.417
K3 0.657 0.620 0.583
Re1 0.000 0.000 0.500
C1 0.083 0.157 0.649
C2 0.186 0.088 0.299
C3 0.814 0.912 0.701
C4 0.917 0.843 0.351
N1 0.112 0.256 0.733
N2 0.289 0.139 0.190
N3 0.711 0.861 0.810
N4 0.888 0.744 0.267
O1 0.241 0.755 0.533
O2 0.759 0.245 0.467

***

# 2
The following is a computed powder diffractogram of K3ReC4N4O2. It was derived from a PBE-relaxed structure, using Cu Kα X-rays.
Peak positions follow from Bragg's law for the DFT cell and can differ from measured ones.

Most intense lines, 2θ from 5° to 70°, by intensity:
d 6.149, rel. 100; d 6.408, rel. 85; d 5.847, rel. 72; d 3.121, rel. 62; d 3.717, rel. 60; d 3.939, rel. 60; d 4.091, rel. 48; d 3.596, rel. 45; d 5.517, rel. 44; d 5.331, rel. 41

Cell and atoms:
Cell lengths 6.471, 7.039, 7.574 Å; angles 106.81, 110.86, 105.25 degrees
Sites, in units of the cell vectors:
K1 0.000 0.000 0.000
K2 0.458 0.665 0.300
K3 0.542 0.335 0.700
Re1 0.000 0.500 0.500
C1 0.101 0.402 0.747
C2 0.324 0.790 0.668
C3 0.676 0.210 0.332
C4 0.899 0.598 0.253
N1 0.154 0.343 0.881
N2 0.494 0.055 0.254
N3 0.506 0.945 0.746
N4 0.846 0.657 0.119
O1 0.156 0.364 0.390
O2 0.844 0.636 0.610

***

# 3
The following is a computed powder diffractogram of K4RuC6N6O2. It was derived from a PBE-relaxed structure, using Cu Kα X-rays.
Peak positions follow from Bragg's law for the DFT cell and can differ from measured ones.

Most intense lines, 2θ from 5° to 70°, by intensity:
d 2.999, rel. 100; d 2.965, rel. 99; d 8.623, rel. 87; d 6.301, rel. 77; d 4.167, rel. 64; d 3.827, rel. 56; d 2.874, rel. 48; d 4.312, rel. 39; d 8.331, rel. 39; d 2.268, rel. 34

Cell and atoms:
Cell lengths 9.848, 9.848, 9.635 Å; angles 90.08, 90.08, 122.23 degrees
Sites, in units of the cell vectors:
K1 0.043 0.758 0.553
K2 0.182 0.451 0.843
K3 0.242 0.957 0.947
K4 0.451 0.182 0.343
K5 0.549 0.818 0.657
K6 0.758 0.043 0.053
K7 0.818 0.549 0.157
K8 0.957 0.242 0.447
Ru1 0.323 0.677 0.250
Ru2 0.677 0.323 0.750
C1 0.121 0.474 0.183
C2 0.205 0.795 0.250
C3 0.255 0.610 0.450
C4 0.390 0.745 0.050
C5 0.440 0.560 0.250
C6 0.474 0.121 0.683
C7 0.526 0.879 0.317
C8 0.560 0.440 0.750
C9 0.610 0.255 0.950
C10 0.745 0.390 0.550
C11 0.795 0.205 0.750
C12 0.879 0.526 0.817
N1 0.004 0.355 0.146
N2 0.136 0.864 0.250
N3 0.213 0.573 0.566
N4 0.355 0.004 0.646
N5 0.427 0.787 0.934
N6 0.492 0.508 0.750
N7 0.508 0.492 0.250
N8 0.573 0.213 0.066
N9 0.645 0.996 0.354
N10 0.787 0.427 0.434
N11 0.864 0.136 0.750
N12 0.996 0.645 0.854
O1 0.241 0.242 0.995
O2 0.242 0.241 0.495
O3 0.758 0.759 0.505
O4 0.759 0.758 0.005

***

# 4
The following is a computed powder diffractogram of K3TcC4N4O2. It was derived from a PBE-relaxed structure, using Cu Kα X-rays.
Peak positions follow from Bragg's law for the DFT cell and can differ from measured ones.

Most intense lines, 2θ from 5° to 70°, by intensity:
d 6.233, rel. 100; d 3.772, rel. 82; d 3.982, rel. 75; d 6.488, rel. 73; d 5.902, rel. 61; d 3.152, rel. 60; d 3.631, rel. 54; d 4.114, rel. 49; d 2.363, rel. 40; d 2.779, rel. 36

Cell and atoms:
Cell lengths 6.520, 7.134, 7.642 Å; angles 106.49, 110.65, 105.64 degrees
Sites, in units of the cell vectors:
K1 0.000 0.000 0.000
K2 0.456 0.665 0.300
K3 0.544 0.335 0.700
Tc1 0.000 0.500 0.500
C1 0.098 0.402 0.744
C2 0.321 0.788 0.668
C3 0.679 0.212 0.332
C4 0.902 0.598 0.256
N1 0.150 0.343 0.876
N2 0.498 0.058 0.255
N3 0.502 0.942 0.745
N4 0.850 0.657 0.124
O1 0.157 0.370 0.395
O2 0.843 0.630 0.605

***

# 5
The following is a computed powder diffractogram of K2PdC4N4. It was derived from a PBE-relaxed structure, using Cu Kα X-rays.
Peak positions follow from Bragg's law for the DFT cell and can differ from measured ones.

Most intense lines, 2θ from 5° to 70°, by intensity:
d 3.704, rel. 100; d 6.843, rel. 79; d 3.956, rel. 68; d 2.716, rel. 35; d 4.442, rel. 24; d 2.221, rel. 22; d 2.257, rel. 21; d 3.926, rel. 18; d 2.272, rel. 18; d 3.763, rel. 16

Cell and atoms:
Cell lengths 4.443, 7.852, 13.742 Å; angles 90.00, 91.08, 90.00 degrees
Sites, in units of the cell vectors:
K1 0.215 0.044 0.344
K2 0.215 0.456 0.844
K3 0.785 0.544 0.156
K4 0.785 0.956 0.656
Pd1 0.500 0.000 0.000
Pd2 0.500 0.500 0.500
C1 0.342 0.623 0.615
C2 0.342 0.877 0.115
C3 0.350 0.221 0.051
C4 0.350 0.279 0.551
C5 0.650 0.721 0.449
C6 0.650 0.779 0.949
C7 0.658 0.123 0.885
C8 0.658 0.377 0.385
N1 0.254 0.699 0.683
N2 0.254 0.801 0.183
N3 0.265 0.146 0.579
N4 0.265 0.354 0.079
N5 0.735 0.646 0.921
N6 0.735 0.854 0.421
N7 0.746 0.199 0.817
N8 0.746 0.301 0.317

***

# 6
The following is a computed powder diffractogram of K2PdC4S4N4. It was derived from a PBE-relaxed structure, using Cu Kα X-rays.
Peak positions follow from Bragg's law for the DFT cell and can differ from measured ones.

Most intense lines, 2θ from 5° to 70°, by intensity:
d 8.498, rel. 100; d 3.692, rel. 57; d 5.546, rel. 35; d 4.320, rel. 32; d 3.195, rel. 27; d 6.611, rel. 27; d 2.754, rel. 23; d 2.834, rel. 22; d 4.096, rel. 22; d 3.168, rel. 20

Cell and atoms:
Cell lengths 4.364, 13.223, 11.205 Å; angles 90.00, 98.16, 90.00 degrees
Sites, in units of the cell vectors:
K1 0.191 0.145 0.030
K2 0.191 0.355 0.530
K3 0.809 0.645 0.470
K4 0.809 0.855 0.970
Pd1 0.500 0.000 0.500
Pd2 0.500 0.500 0.000
C1 0.288 0.654 0.205
C2 0.288 0.846 0.705
C3 0.471 0.575 0.727
C4 0.471 0.925 0.227
C5 0.529 0.075 0.773
C6 0.529 0.425 0.273
C7 0.712 0.154 0.295
C8 0.712 0.346 0.795
S1 0.274 0.092 0.650
S2 0.274 0.408 0.150
S3 0.374 0.665 0.066
S4 0.374 0.835 0.566
S5 0.626 0.165 0.434
S6 0.626 0.335 0.934
S7 0.726 0.592 0.850
S8 0.726 0.908 0.350
N1 0.226 0.652 0.304
N2 0.226 0.848 0.804
N3 0.301 0.565 0.636
N4 0.301 0.935 0.136
N5 0.699 0.065 0.864
N6 0.699 0.435 0.364
N7 0.774 0.152 0.196
N8 0.774 0.348 0.696

***

# 7
The following is a computed powder diffractogram of K2PtC4N4. It was derived from a PBE-relaxed structure, using Cu Kα X-rays.
Peak positions follow from Bragg's law for the DFT cell and can differ from measured ones.

Most intense lines, 2θ from 5° to 70°, by intensity:
d 7.644, rel. 100; d 3.454, rel. 47; d 4.121, rel. 46; d 6.919, rel. 42; d 2.399, rel. 26; d 2.759, rel. 26; d 4.585, rel. 24; d 2.996, rel. 22; d 2.984, rel. 20; d 3.822, rel. 16

Cell and atoms:
Cell lengths 9.169, 13.839, 7.132 Å; angles 90.00, 90.00, 90.00 degrees
Sites, in units of the cell vectors:
K1 0.147 0.095 0.201
K2 0.147 0.405 0.701
K3 0.353 0.095 0.701
K4 0.353 0.405 0.201
K5 0.647 0.595 0.799
K6 0.647 0.905 0.299
K7 0.853 0.595 0.299
K8 0.853 0.905 0.799
Pt1 0.250 0.750 0.409
Pt2 0.250 0.750 0.909
Pt3 0.750 0.250 0.091
Pt4 0.750 0.250 0.591
C1 0.043 0.705 0.909
C2 0.043 0.795 0.409
C3 0.185 0.613 0.408
C4 0.185 0.887 0.908
C5 0.315 0.613 0.908
C6 0.315 0.887 0.408
C7 0.457 0.705 0.409
C8 0.457 0.795 0.909
C9 0.543 0.205 0.091
C10 0.543 0.295 0.591
C11 0.685 0.113 0.592
C12 0.685 0.387 0.092
C13 0.815 0.113 0.092
C14 0.815 0.387 0.592
C15 0.957 0.205 0.591
C16 0.957 0.295 0.091
N1 0.079 0.180 0.590
N2 0.079 0.320 0.090
N3 0.147 0.532 0.405
N4 0.147 0.968 0.905
N5 0.353 0.532 0.905
N6 0.353 0.968 0.405
N7 0.421 0.180 0.090
N8 0.421 0.320 0.590
N9 0.579 0.680 0.410
N10 0.579 0.820 0.910
N11 0.647 0.032 0.595
N12 0.647 0.468 0.095
N13 0.853 0.032 0.095
N14 0.853 0.468 0.595
N15 0.921 0.680 0.910
N16 0.921 0.820 0.410